Calculated XRD peak list of Mg7FeSi4O16 for Cu Kα (weighted mean of Kα1 and Kα2), from a structure optimized by DFT (GGA+U).

Structure:
```
Mg7FeSi4O16
1.0
4.820 0.000 0.000
0.025 6.053 0.000
0.016 0.020 10.353
Mg Fe Si O
7 1 4 16
Cartesian
0.000 0.000 0.000
0.013 3.027 0.000
0.054 1.517 2.859
2.395 1.533 8.061
2.430 3.037 5.176
2.466 4.540 2.292
4.807 4.556 7.494
2.418 0.010 5.176
0.375 4.529 4.183
2.087 4.558 9.386
2.773 1.515 0.967
4.486 1.545 6.170
1.049 4.531 5.715
1.065 5.834 3.440
1.103 3.216 3.487
1.138 1.517 0.943
1.303 1.550 6.162
1.364 3.250 8.669
1.356 4.536 0.547
1.379 5.874 8.673
3.482 0.199 1.679
3.505 1.538 9.806
3.497 2.823 1.684
3.557 4.524 4.191
3.722 4.557 9.410
3.758 2.858 6.866
3.796 0.239 6.913
3.812 1.543 4.638
```

Principal peaks in the range 2θ from 10° to 80°, most intense first:
Position (°2θ), intensity
31.89, 100
22.61, 79
36.17, 77
36.03, 77
17.13, 49
51.69, 49
51.49, 48
35.21, 47
35.29, 45
61.25, 41